The following is a calculated PXRD pattern of KAcMo2. It was derived from a GGA-PBE-relaxed structure, using CuKα.

Structural model:
Lattice parameters (Å, degrees): 3.1183 3.1183 11.8093 90.00 90.00 120.00
Fractional coordinates of all 4 atoms:
K 0.0000 0.0000 0.0000
Ac 0.6667 0.3333 0.5000
Mo 0.0000 0.0000 0.2663
Mo 0.0000 0.0000 0.7337

Principal peaks in the range 2θ from 10° to 90°, sorted by position:
2θ 30.3, I = 51; 2θ 33.2, I = 33; 2θ 34.1, I = 62; 2θ 36.6, I = 100; 2θ 40.5, I = 58; 2θ 45.5, I = 25; 2θ 58.0, I = 23; 2θ 59.3, I = 24; 2θ 65.2, I = 20; 2θ 68.0, I = 30

The following is a calculated PXRD pattern of Li3AcPd2. It was derived from a GGA-PBE-relaxed structure, using CuKα.

Structural model:
Lattice parameters (Å, degrees): 7.9530 7.9530 8.1594 114.61 114.61 30.59
Fractional coordinates of all 12 atoms:
Li 0.0548 0.0548 0.3926
Li 0.3081 0.3081 0.5254
Li 0.4101 0.4101 0.3346
Li 0.5899 0.5899 0.6654
Li 0.6919 0.6919 0.4746
Li 0.9452 0.9452 0.6074
Ac 0.1428 0.1428 0.0519
Ac 0.8572 0.8572 0.9481
Pd 0.2044 0.2044 0.7211
Pd 0.4725 0.4725 0.8185
Pd 0.5275 0.5275 0.1815
Pd 0.7956 0.7956 0.2789

Principal peaks in the range 2θ from 10° to 90°, sorted by position:
2θ 12.0, I = 100; 2θ 26.6, I = 43; 2θ 28.8, I = 75; 2θ 30.8, I = 36; 2θ 33.0, I = 17; 2θ 34.5, I = 49; 2θ 36.3, I = 18; 2θ 37.8, I = 24; 2θ 40.6, I = 41; 2θ 43.1, I = 19

The following is a calculated PXRD pattern of LiAcPd2. It was derived from a GGA-PBE-relaxed structure, using CuKα.

Structural model:
Lattice parameters (Å, degrees): 7.6259 7.2213 5.9343 90.00 90.00 90.00
Fractional coordinates of all 16 atoms:
Li 0.1098 0.2500 0.1492
Li 0.3902 0.7500 0.6492
Li 0.6098 0.2500 0.3508
Li 0.8902 0.7500 0.8508
Ac 0.0286 0.7500 0.3593
Ac 0.4714 0.2500 0.8593
Ac 0.5286 0.7500 0.1407
Ac 0.9714 0.2500 0.6407
Pd 0.1818 0.5493 0.9091
Pd 0.1818 0.9507 0.9091
Pd 0.3182 0.0493 0.4091
Pd 0.3182 0.4507 0.4091
Pd 0.6818 0.5493 0.5909
Pd 0.6818 0.9507 0.5909
Pd 0.8182 0.0493 0.0909
Pd 0.8182 0.4507 0.0909

Principal peaks in the range 2θ from 10° to 90°, sorted by position:
2θ 19.4, I = 60; 2θ 30.5, I = 80; 2θ 31.3, I = 88; 2θ 32.4, I = 48; 2θ 34.2, I = 93; 2θ 34.7, I = 100; 2θ 38.5, I = 63; 2θ 40.4, I = 38; 2θ 50.3, I = 30; 2θ 61.6, I = 37

The following is a calculated PXRD pattern of AcLuTc. It was derived from a GGA-PBE-relaxed structure, using CuKα.

Structural model:
Lattice parameters (Å, degrees): 4.9241 4.9241 4.9241 60.00 60.00 60.00
Fractional coordinates of all 3 atoms:
Ac 0.0000 0.0000 0.0000
Lu 0.2500 0.2500 0.2500
Tc 0.5000 0.5000 0.5000

Principal peaks in the range 2θ from 10° to 90°, sorted by position:
2θ 22.1, I = 42; 2θ 25.6, I = 11; 2θ 36.5, I = 100; 2θ 43.1, I = 23; 2θ 52.6, I = 18; 2θ 57.7, I = 10; 2θ 65.7, I = 36; 2θ 77.5, I = 11; 2θ 81.8, I = 8; 2θ 88.9, I = 17